Structure and computed powder X-ray diffraction pattern of La12Pm7Tm (the PBE geometry in Alexandria; Cu Ka).

Crystal structure
abc: 12.5987 12.5987 15.5872
angles: 90.00 90.00 120.00
Space group R-3 (No. 148, hexagonal axes)
Symmetry-distinct sites (fractional):
La 0.0205 0.4427 0.2227 [18 per cell]
La 0.0667 0.5934 0.5771 [18 per cell]
Pm 0.0000 0.0000 0.0000 [3 per cell]
Pm 0.0575 0.1851 0.3041 [18 per cell]
Tm 0.0000 0.0000 0.5000 [3 per cell]

Peak list (12 most intense, 2θ = 15–90°, in order of rising 2θ)
| (hkl) | 2θ (°) | I/Imax |
| --- | --- | --- |
| 0 2 4 | 28.14 | 17 |
| 0 1 5 | 29.81 | 21 |
| 4 -3 1 | 30.06 | 100 |
| 3 -1 4 | 31.59 | 32 |
| 3 1 2 | 31.72 | 53 |
| 2 0 5 | 33.10 | 11 |
| 2 -1 6 | 37.45 | 12 |
| 3 -2 8 | 51.90 | 9 |
| 5 -4 6 | 52.11 | 10 |
| 3 4 2 | 52.31 | 10 |
| 2 5 0 | 52.37 | 12 |
| 7 -6 1 | 55.52 | 12 |